# 1
This entry pairs a crystal structure of KBaCd2Au2 with its theoretical powder diffraction line list. Radiation: Cu Kα, 1.54184 Å. Structure: a structure optimized by DFT (GGA-PBE).

Cell and atoms:
a = 4.911 Å, b = 4.911 Å, c = 9.155 Å
α = 90.00°, β = 90.00°, γ = 120.00°
Sites, in units of the cell vectors:
K 0.000 0.000 0.000
Ba 0.000 0.000 0.500
Cd 0.333 0.667 0.752
Cd 0.667 0.333 0.248
Au 0.333 0.667 0.270
Au 0.667 0.333 0.730

Principal peaks in the range 10° ≤ 2θ ≤ 90°, low angle first:
2θ 19.39, d 4.578, I 34; 2θ 28.65, d 3.116, I 100; 2θ 36.59, d 2.456, I 70; 2θ 39.37, d 2.289, I 17; 2θ 41.74, d 2.164, I 30; 2θ 47.12, d 1.929, I 25; 2θ 54.83, d 1.674, I 38; 2θ 61.09, d 1.517, I 23

---

# 2
This entry pairs a crystal structure of Ba3Li2CdAu6 with its theoretical powder diffraction line list. Radiation: Cu Kα, 1.54184 Å. Structure: a structure optimized by DFT (GGA-PBE).

Cell and atoms:
a = 6.769 Å, b = 6.769 Å, c = 8.684 Å
α = 90.00°, β = 90.00°, γ = 120.00°
Sites, in units of the cell vectors:
Ba 0.000 0.000 0.000
Ba 0.333 0.667 0.629
Ba 0.667 0.333 0.371
Li 0.333 0.667 0.054
Li 0.667 0.333 0.946
Cd 0.000 0.000 0.500
Au 0.189 0.378 0.286
Au 0.189 0.811 0.286
Au 0.378 0.189 0.714
Au 0.622 0.811 0.286
Au 0.811 0.189 0.714
Au 0.811 0.622 0.714

Principal peaks in the range 10° ≤ 2θ ≤ 90°, low angle first:
2θ 10.19, d 8.684, I 33; 2θ 18.26, d 4.859, I 28; 2θ 20.45, d 4.342, I 28; 2θ 32.24, d 2.777, I 100; 2θ 33.57, d 2.669, I 21; 2θ 37.01, d 2.429, I 55; 2θ 43.96, d 2.060, I 19; 2θ 54.21, d 1.692, I 20